Structure and computed PXRD pattern of TmZn6CuPd (a PBE-relaxed structure; Cu Kα (weighted mean of Kα1 and Kα2)).

Crystal structure
Cell: 8.8252 8.8252 8.8252 Å, 145.81 113.23 77.20°
Positions (direct):
Tm (0.3633, 0.1133, 0.2500)
Tm (0.6367, 0.8867, 0.7500)
Zn (0.1399, 0.4054, 0.2361)
Zn (0.1399, 0.9038, 0.7345)
Zn (0.1606, 0.9106, 0.2500)
Zn (0.1903, 0.4403, 0.7500)
Zn (0.3307, 0.0962, 0.7361)
Zn (0.3307, 0.5946, 0.2345)
Zn (0.6693, 0.4054, 0.7655)
Zn (0.6693, 0.9038, 0.2639)
Zn (0.8097, 0.5597, 0.2500)
Zn (0.8394, 0.0894, 0.7500)
Zn (0.8601, 0.0962, 0.2655)
Zn (0.8601, 0.5946, 0.7639)
Cu (0.0000, 0.5000, 0.5000)
Cu (0.5000, 0.5000, 0.0000)
Pd (0.0000, 0.0000, 0.5000)
Pd (0.0000, 0.5000, 0.0000)

Main lines, by intensity (2θ from 5° to 70°):
37.02 deg, rel. 100
47.70 deg, rel. 75
43.56 deg, rel. 55
25.95 deg, rel. 42
25.87 deg, rel. 39
23.33 deg, rel. 34
39.37 deg, rel. 33
11.14 deg, rel. 31